# K2LiGdCl6
Theoretical powder X-ray diffraction pattern, Cu Kα, 1.54184 Å. Input: a cell relaxed with GGA-PBE.

Crystal structure
Cell: 7.3879 7.3879 7.3879 Å, 60.00 60.00 60.00°
Sites, in units of the cell vectors:
K: 0.2500 0.2500 0.2500
K: 0.7500 0.7500 0.7500
Li: 0.0000 0.0000 0.0000
Gd: 0.5000 0.5000 0.5000
Cl: 0.2458 0.2458 0.7542
Cl: 0.2458 0.7542 0.2458
Cl: 0.2458 0.7542 0.7542
Cl: 0.7542 0.2458 0.2458
Cl: 0.7542 0.2458 0.7542
Cl: 0.7542 0.7542 0.2458

Top 8 peaks for 5 to 70 degrees two-theta, by intensity:
2θ/deg, I (rel.)
14.69, 100
34.33, 98
28.33, 72
24.09, 67
49.34, 64
16.97, 63
37.52, 37
38.54, 31

=====

# LaGdCl2O2
Theoretical powder X-ray diffraction pattern, Cu Kα, 1.54184 Å. Input: a cell relaxed with GGA-PBE.

Crystal structure
Cell: 4.0459 4.0459 6.9177 Å, 90.00 90.00 90.00°
Sites, in units of the cell vectors:
La: 0.0000 0.0000 0.0000
Gd: 0.5000 0.5000 0.6579
Cl: 0.0000 0.0000 0.4574
Cl: 0.5000 0.5000 0.1963
O: 0.0000 0.5000 0.8193
O: 0.5000 0.0000 0.8193

Top 8 peaks for 5 to 70 degrees two-theta, by intensity:
2θ/deg, I (rel.)
34.10, 100
25.50, 86
31.27, 69
57.48, 43
12.80, 40
44.80, 36
52.26, 26
40.94, 23

=====

# Na2LiGdCl6
Theoretical powder X-ray diffraction pattern, Cu Kα, 1.54184 Å. Input: a cell relaxed with GGA-PBE.

Crystal structure
Cell: 7.3050 7.3050 7.3050 Å, 60.00 60.00 60.00°
Sites, in units of the cell vectors:
Na: 0.2500 0.2500 0.2500
Na: 0.7500 0.7500 0.7500
Li: 0.0000 0.0000 0.0000
Gd: 0.5000 0.5000 0.5000
Cl: 0.2441 0.2441 0.7559
Cl: 0.2441 0.7559 0.2441
Cl: 0.2441 0.7559 0.7559
Cl: 0.7559 0.2441 0.2441
Cl: 0.7559 0.2441 0.7559
Cl: 0.7559 0.7559 0.2441

Top 8 peaks for 5 to 70 degrees two-theta, by intensity:
2θ/deg, I (rel.)
14.85, 100
17.17, 99
34.73, 87
28.66, 75
49.94, 57
38.99, 46
24.37, 44
37.96, 40

=====

# Gd3NCl6
Theoretical powder X-ray diffraction pattern, Cu Kα, 1.54184 Å. Input: a cell relaxed with GGA-PBE.

Crystal structure
Cell: 7.1593 8.2086 9.7755 Å, 75.31 70.94 65.28°
Sites, in units of the cell vectors:
Gd: 0.0884 0.0845 0.1876
Gd: 0.2203 0.4279 0.2798
Gd: 0.2411 0.4166 0.8738
Gd: 0.7589 0.5834 0.1262
Gd: 0.7797 0.5721 0.7202
Gd: 0.9116 0.9155 0.8124
N: 0.0920 0.3671 0.1233
N: 0.9080 0.6329 0.8767
Cl: 0.0314 0.1773 0.8951
Cl: 0.1988 0.4166 0.5899
Cl: 0.2111 0.1018 0.4147
Cl: 0.3246 0.7180 0.2976
Cl: 0.3360 0.7398 0.7084
Cl: 0.5000 0.0000 0.0000
Cl: 0.5000 0.5000 0.0000
Cl: 0.6640 0.2602 0.2916
Cl: 0.6754 0.2820 0.7024
Cl: 0.7889 0.8982 0.5853
Cl: 0.8012 0.5834 0.4101
Cl: 0.9686 0.8227 0.1049

Top 8 peaks for 5 to 70 degrees two-theta, by intensity:
2θ/deg, I (rel.)
33.88, 100
9.66, 100
33.79, 89
34.84, 84
11.98, 78
35.07, 74
14.07, 70
19.39, 70